Record 1
Diffraction record for Pr2Dy2BICl4. The X-ray diffraction stick pattern is simulated, not measured: it uses a GGA-PBE-relaxed structure and Cu Kα (λ = 1.5418 Å).
Peak positions follow from Bragg's law for the DFT cell and can differ from measured ones.

The 8 most intense peaks (15 to 90 degrees two-theta), low angle first:
- d = 5.520 Å, 16.1 deg, I 269
- d = 4.239 Å, 21.0 deg, I 278
- d = 3.201 Å, 27.9 deg, I 254
- d = 2.992 Å, 29.9 deg, I 1000
- d = 2.935 Å, 30.5 deg, I 388
- d = 2.839 Å, 31.5 deg, I 470
- d = 2.079 Å, 43.5 deg, I 269
- d = 2.041 Å, 44.4 deg, I 264

Atomic structure:
```
Pr2Dy2BICl4
1.0
8.755 -1.993 0.000
8.755 1.993 0.000
-2.101 0.000 8.817
Pr Dy B I Cl
2 2 1 1 4
Direct
0.001 0.001 0.298
0.999 0.999 0.702
0.353 0.353 0.428
0.647 0.647 0.572
0.500 0.500 0.500
0.500 0.500 0.000
0.170 0.170 0.785
0.175 0.175 0.375
0.825 0.825 0.625
0.830 0.830 0.215
```


Record 2
Diffraction record for DyErZn2As2O2. The X-ray diffraction stick pattern is simulated, not measured: it uses a GGA-PBE-relaxed structure and Cu Kα (λ = 1.5418 Å).
Peak positions follow from Bragg's law for the DFT cell and can differ from measured ones.

The 8 most intense peaks (15 to 90 degrees two-theta), low angle first:
- d = 2.941 Å, 30.4 deg, I 1000
- d = 2.779 Å, 32.2 deg, I 204
- d = 2.652 Å, 33.8 deg, I 313
- d = 2.362 Å, 38.1 deg, I 247
- d = 2.355 Å, 38.2 deg, I 201
- d = 1.965 Å, 46.2 deg, I 349
- d = 1.733 Å, 52.8 deg, I 282
- d = 1.634 Å, 56.3 deg, I 382

Atomic structure:
```
DyErZn2As2O2
1.0
3.931 0.000 0.000
0.000 3.931 0.000
0.000 0.000 8.864
Dy Er Zn As O
1 1 2 2 2
Direct
0.000 0.000 0.000
0.500 0.500 0.757
0.000 0.500 0.377
0.500 0.000 0.377
0.000 0.000 0.562
0.500 0.500 0.192
0.000 0.500 0.876
0.500 0.000 0.876
```


Record 3
Diffraction record for CsRbTcSe2S. The X-ray diffraction stick pattern is simulated, not measured: it uses a GGA-PBE-relaxed structure and Cu Kα (λ = 1.5418 Å).
Peak positions follow from Bragg's law for the DFT cell and can differ from measured ones.

The 8 most intense peaks (15 to 90 degrees two-theta), low angle first:
- d = 3.757 Å, 23.7 deg, I 582
- d = 3.648 Å, 24.4 deg, I 733
- d = 3.401 Å, 26.2 deg, I 699
- d = 3.380 Å, 26.4 deg, I 1000
- d = 3.072 Å, 29.1 deg, I 265
- d = 2.738 Å, 32.7 deg, I 284
- d = 2.621 Å, 34.2 deg, I 336
- d = 2.190 Å, 41.2 deg, I 313

Atomic structure:
```
CsRbTcSe2S
1.0
7.084 -3.648 0.000
7.084 3.648 0.000
-6.109 0.000 8.287
Cs Rb Tc Se S
2 2 2 4 2
Direct
0.203 0.203 0.319
0.797 0.797 0.681
0.418 0.418 0.131
0.582 0.582 0.869
0.111 0.111 0.663
0.889 0.889 0.337
0.113 0.113 0.894
0.265 0.735 0.500
0.735 0.265 0.500
0.887 0.887 0.106
0.292 0.292 0.730
0.708 0.708 0.270
```


Record 4
Diffraction record for NaOsSO. The X-ray diffraction stick pattern is simulated, not measured: it uses a GGA-PBE-relaxed structure and Cu Kα (λ = 1.5418 Å).
Peak positions follow from Bragg's law for the DFT cell and can differ from measured ones.

The 8 most intense peaks (15 to 90 degrees two-theta), low angle first:
- d = 3.996 Å, 22.2 deg, I 515
- d = 3.480 Å, 25.6 deg, I 522
- d = 3.226 Å, 27.6 deg, I 987
- d = 3.143 Å, 28.4 deg, I 1000
- d = 2.690 Å, 33.3 deg, I 975
- d = 2.358 Å, 38.2 deg, I 618
- d = 2.310 Å, 39.0 deg, I 459
- d = 2.284 Å, 39.4 deg, I 465

Atomic structure:
```
NaOsSO
1.0
5.326 0.000 0.000
0.000 5.090 0.000
-2.244 0.000 9.540
Na Os S O
4 4 4 4
Direct
0.085 0.000 0.225
0.350 0.933 0.917
0.650 0.433 0.083
0.915 0.500 0.775
0.138 0.119 0.622
0.440 0.768 0.635
0.560 0.268 0.365
0.862 0.619 0.378
0.165 0.495 0.251
0.418 0.430 0.803
0.582 0.930 0.197
0.835 0.995 0.749
0.116 0.506 0.551
0.384 0.045 0.477
0.616 0.545 0.523
0.884 0.006 0.449
```